[1]
K2CrPCO7: theoretical PXRD pattern (Cu Ka), based on a structure optimized by DFT (GGA+U).
No peak broadening, texture or thermal motion is included.

Structural model:
```
data_K2CrPCO7
_chemical_formula_sum 'K4 Cr2 P2 C2 O14'
_cell_length_a 5.586
_cell_length_b 6.698
_cell_length_c 9.725
_cell_angle_alpha 90.00
_cell_angle_beta 90.45
_cell_angle_gamma 90.00
_symmetry_space_group_name_H-M 'P 1 21/m 1'
_symmetry_Int_Tables_number 11
loop_
_symmetry_equiv_pos_as_xyz
'x,y,z'
'-x,-y,-z'
'-x,y+1/2,-z'
'x,-y+1/2,z'
loop_
_atom_site_label
_atom_site_type_symbol
_atom_site_fract_x
_atom_site_fract_y
_atom_site_fract_z
_atom_site_occupancy
K1 K 0.244 0.024 0.258 1
Cr1 Cr 0.228 0.250 0.858 1
P1 P 0.276 0.750 0.933 1
C1 C 0.271 0.250 0.605 1
O1 O 0.064 0.250 0.669 1
O2 O 0.107 0.750 0.060 1
O3 O 0.229 0.561 0.844 1
O4 O 0.296 0.250 0.478 1
O5 O 0.452 0.250 0.695 1
O6 O 0.455 0.250 0.020 1
```

Peak list (10 most intense, 10 to 90 degrees two-theta, by angle)
2θ/deg	d/Å	intensity
16.07	5.516	30
18.25	4.862	18
20.71	4.290	23
22.71	3.916	15
24.17	3.682	29
31.81	2.813	25
32.04	2.793	51
32.49	2.756	100
41.50	2.176	17
46.14	1.967	14


[2]
KCrPCO7: theoretical PXRD pattern (Cu Ka), based on a structure optimized by DFT (GGA+U).
No peak broadening, texture or thermal motion is included.

Structural model:
```
data_KCrPCO7
_chemical_formula_sum 'K2 Cr2 P2 C2 O14'
_cell_length_a 5.262
_cell_length_b 6.258
_cell_length_c 10.425
_cell_angle_alpha 90.05
_cell_angle_beta 91.23
_cell_angle_gamma 90.02
_symmetry_space_group_name_H-M 'P 1'
_symmetry_Int_Tables_number 1
loop_
_symmetry_equiv_pos_as_xyz
'x,y,z'
loop_
_atom_site_label
_atom_site_type_symbol
_atom_site_fract_x
_atom_site_fract_y
_atom_site_fract_z
_atom_site_occupancy
K1 K 0.000 0.000 0.000 1
K2 K 0.471 0.501 0.579 1
Cr1 Cr 0.016 0.890 0.432 1
Cr2 Cr 0.455 0.389 0.148 1
P1 P 0.516 0.885 0.232 1
P2 P 0.955 0.385 0.347 1
C1 C 0.528 0.371 0.922 1
C2 C 0.943 0.871 0.657 1
O1 O 0.010 0.192 0.438 1
O2 O 0.013 0.579 0.436 1
O3 O 0.129 0.381 0.231 1
O4 O 0.171 0.881 0.604 1
O5 O 0.300 0.380 0.975 1
O6 O 0.343 0.881 0.349 1
O7 O 0.458 0.078 0.143 1
O8 O 0.461 0.691 0.141 1
O9 O 0.571 0.355 0.807 1
O10 O 0.671 0.387 0.307 1
O11 O 0.708 0.377 0.016 1
O12 O 0.763 0.878 0.563 1
O13 O 0.800 0.887 0.272 1
O14 O 0.899 0.855 0.772 1
```

Peak list (10 most intense, 10 to 90 degrees two-theta, by angle)
2θ/deg	d/Å	intensity
16.52	5.365	66
19.06	4.656	39
22.07	4.027	80
23.79	3.741	100
24.30	3.663	30
28.23	3.161	48
28.52	3.129	93
34.09	2.630	33
34.36	2.610	28
44.28	2.046	29


[3]
Li12MnCr3P4C4O28: theoretical PXRD pattern (Cu Ka), based on a structure optimized by DFT (GGA+U).
No peak broadening, texture or thermal motion is included.

Structural model:
```
data_Li12MnCr3P4C4O28
_chemical_formula_sum 'Li12 Mn1 Cr3 P4 C4 O28'
_cell_length_a 8.682
_cell_length_b 6.499
_cell_length_c 10.000
_cell_angle_alpha 90.00
_cell_angle_beta 94.62
_cell_angle_gamma 90.00
_symmetry_space_group_name_H-M 'P 1 m 1'
_symmetry_Int_Tables_number 6
loop_
_symmetry_equiv_pos_as_xyz
'x,y,z'
'x,-y,z'
loop_
_atom_site_label
_atom_site_type_symbol
_atom_site_fract_x
_atom_site_fract_y
_atom_site_fract_z
_atom_site_occupancy
Li1 Li 0.000 0.000 0.000 1
Li2 Li 0.000 0.000 0.493 1
Li3 Li 0.210 0.500 0.726 1
Li4 Li 0.211 0.500 0.224 1
Li5 Li 0.373 0.277 0.483 1
Li6 Li 0.375 0.275 0.983 1
Li7 Li 0.831 0.224 0.741 1
Li8 Li 0.831 0.226 0.238 1
Mn1 Mn 0.443 0.000 0.222 1
Cr1 Cr 0.435 0.000 0.714 1
Cr2 Cr 0.767 0.500 0.508 1
Cr3 Cr 0.768 0.500 0.008 1
P1 P 0.513 0.500 0.248 1
P2 P 0.514 0.500 0.749 1
P3 P 0.690 0.000 0.473 1
P4 P 0.690 0.000 0.971 1
C1 C 0.069 0.500 0.463 1
C2 C 0.069 0.500 0.963 1
C3 C 0.134 0.000 0.760 1
C4 C 0.137 0.000 0.261 1
O1 O 0.046 0.500 0.589 1
O2 O 0.047 0.500 0.089 1
O3 O 0.157 0.000 0.635 1
O4 O 0.169 0.000 0.138 1
O5 O 0.207 0.500 0.422 1
O6 O 0.208 0.500 0.922 1
O7 O 0.250 0.000 0.356 1
O8 O 0.255 0.000 0.849 1
O9 O 0.414 0.315 0.191 1
O10 O 0.415 0.314 0.692 1
O11 O 0.520 0.500 0.404 1
O12 O 0.521 0.500 0.904 1
O13 O 0.524 0.000 0.016 1
O14 O 0.524 0.000 0.519 1
O15 O 0.679 0.000 0.316 1
O16 O 0.679 0.500 0.203 1
O17 O 0.679 0.500 0.702 1
O18 O 0.684 0.000 0.815 1
O19 O 0.789 0.186 0.028 1
O20 O 0.789 0.186 0.528 1
O21 O 0.948 0.500 0.375 1
O22 O 0.948 0.500 0.875 1
O23 O 0.994 0.000 0.293 1
O24 O 0.996 0.000 0.801 1
```

Peak list (10 most intense, 10 to 90 degrees two-theta, by angle)
2θ/deg	d/Å	intensity
10.22	8.654	84
19.83	4.478	34
21.28	4.176	49
25.35	3.513	25
26.16	3.406	31
27.45	3.250	100
31.00	2.885	20
36.72	2.448	29
39.85	2.262	30
56.65	1.625	20


[4]
Li6MnCrP2C2O14: theoretical PXRD pattern (Cu Ka), based on a structure optimized by DFT (GGA+U).
No peak broadening, texture or thermal motion is included.

Structural model:
```
data_Li6MnCrP2C2O14
_chemical_formula_sum 'Li6 Mn1 Cr1 P2 C2 O14'
_cell_length_a 5.008
_cell_length_b 6.514
_cell_length_c 8.682
_cell_angle_alpha 90.00
_cell_angle_beta 95.64
_cell_angle_gamma 90.00
_symmetry_space_group_name_H-M 'P 1 m 1'
_symmetry_Int_Tables_number 6
loop_
_symmetry_equiv_pos_as_xyz
'x,y,z'
'x,-y,z'
loop_
_atom_site_label
_atom_site_type_symbol
_atom_site_fract_x
_atom_site_fract_y
_atom_site_fract_z
_atom_site_occupancy
Li1 Li 0.000 0.000 0.000 1
Li2 Li 0.058 0.273 0.619 1
Li3 Li 0.518 0.225 0.157 1
Li4 Li 0.573 0.500 0.785 1
Mn1 Mn 0.005 0.500 0.229 1
Cr1 Cr 0.587 0.000 0.553 1
P1 P 0.051 0.000 0.297 1
P2 P 0.515 0.500 0.477 1
C1 C 0.102 0.500 0.925 1
C2 C 0.478 0.000 0.852 1
O1 O 0.174 0.500 0.784 1
O2 O 0.201 0.500 0.467 1
O3 O 0.286 0.500 0.043 1
O4 O 0.308 0.000 0.726 1
O5 O 0.362 0.000 0.305 1
O6 O 0.389 0.000 0.987 1
O7 O 0.599 0.500 0.311 1
O8 O 0.628 0.314 0.577 1
O9 O 0.731 0.000 0.836 1
O10 O 0.853 0.500 0.951 1
O11 O 0.934 0.185 0.199 1
O12 O 0.965 0.000 0.464 1
```

Peak list (10 most intense, 10 to 90 degrees two-theta, by angle)
2θ/deg	d/Å	intensity
10.24	8.640	85
19.67	4.513	30
21.44	4.145	53
25.47	3.497	22
25.93	3.436	32
27.38	3.257	100
31.05	2.880	20
34.45	2.604	24
36.53	2.460	32
40.13	2.247	26


[5]
Li12Mn3CrP4C4O28: theoretical PXRD pattern (Cu Ka), based on a structure optimized by DFT (GGA+U).
No peak broadening, texture or thermal motion is included.

Structural model:
```
data_Li12Mn3CrP4C4O28
_chemical_formula_sum 'Li12 Mn3 Cr1 P4 C4 O28'
_cell_length_a 8.586
_cell_length_b 6.567
_cell_length_c 10.010
_cell_angle_alpha 90.00
_cell_angle_beta 94.42
_cell_angle_gamma 90.00
_symmetry_space_group_name_H-M 'P 1 m 1'
_symmetry_Int_Tables_number 6
loop_
_symmetry_equiv_pos_as_xyz
'x,y,z'
'x,-y,z'
loop_
_atom_site_label
_atom_site_type_symbol
_atom_site_fract_x
_atom_site_fract_y
_atom_site_fract_z
_atom_site_occupancy
Li1 Li 0.000 0.000 0.000 1
Li2 Li 0.000 0.000 0.499 1
Li3 Li 0.183 0.500 0.741 1
Li4 Li 0.184 0.500 0.241 1
Li5 Li 0.365 0.276 0.496 1
Li6 Li 0.366 0.277 0.997 1
Li7 Li 0.819 0.221 0.743 1
Li8 Li 0.819 0.222 0.243 1
Mn1 Mn 0.433 0.000 0.231 1
Mn2 Mn 0.752 0.500 0.509 1
Mn3 Mn 0.753 0.500 0.010 1
Cr1 Cr 0.427 0.000 0.728 1
P1 P 0.503 0.500 0.260 1
P2 P 0.504 0.500 0.761 1
P3 P 0.682 0.000 0.481 1
P4 P 0.682 0.000 0.980 1
C1 C 0.059 0.500 0.472 1
C2 C 0.059 0.500 0.972 1
C3 C 0.124 0.000 0.767 1
C4 C 0.126 0.000 0.268 1
O1 O 0.023 0.500 0.095 1
O2 O 0.023 0.500 0.595 1
O3 O 0.158 0.000 0.644 1
O4 O 0.162 0.000 0.145 1
O5 O 0.205 0.500 0.443 1
O6 O 0.205 0.500 0.942 1
O7 O 0.237 0.000 0.365 1
O8 O 0.238 0.000 0.862 1
O9 O 0.403 0.316 0.206 1
O10 O 0.405 0.314 0.707 1
O11 O 0.514 0.000 0.026 1
O12 O 0.514 0.000 0.526 1
O13 O 0.516 0.500 0.417 1
O14 O 0.516 0.500 0.917 1
O15 O 0.669 0.000 0.324 1
O16 O 0.671 0.500 0.215 1
O17 O 0.672 0.000 0.824 1
O18 O 0.672 0.500 0.714 1
O19 O 0.781 0.185 0.035 1
O20 O 0.782 0.185 0.534 1
O21 O 0.948 0.500 0.875 1
O22 O 0.949 0.500 0.375 1
O23 O 0.980 0.000 0.298 1
O24 O 0.980 0.000 0.799 1
```

Peak list (10 most intense, 10 to 90 degrees two-theta, by angle)
2θ/deg	d/Å	intensity
10.33	8.561	82
19.89	4.463	35
21.29	4.173	43
25.29	3.522	20
26.37	3.380	33
27.16	3.283	100
36.00	2.495	19
36.73	2.447	25
40.02	2.253	21
50.92	1.793	20


[6]
Li2Cr3C6O18: theoretical PXRD pattern (Cu Ka), based on a structure optimized by DFT (GGA+U).
No peak broadening, texture or thermal motion is included.

Structural model:
```
data_Li2Cr3C6O18
_chemical_formula_sum 'Li2 Cr3 C6 O18'
_cell_length_a 4.724
_cell_length_b 6.030
_cell_length_c 12.154
_cell_angle_alpha 100.99
_cell_angle_beta 90.07
_cell_angle_gamma 112.99
_symmetry_space_group_name_H-M 'P -1'
_symmetry_Int_Tables_number 2
loop_
_symmetry_equiv_pos_as_xyz
'x,y,z'
'-x,-y,-z'
loop_
_atom_site_label
_atom_site_type_symbol
_atom_site_fract_x
_atom_site_fract_y
_atom_site_fract_z
_atom_site_occupancy
Li1 Li 0.077 0.151 0.231 1
Cr1 Cr 0.000 0.000 0.500 1
Cr2 Cr 0.334 0.671 0.165 1
C1 C 0.132 0.256 0.968 1
C2 C 0.212 0.417 0.699 1
C3 C 0.460 0.924 0.635 1
O1 O 0.047 0.558 0.285 1
O2 O 0.062 0.345 0.065 1
O3 O 0.072 0.839 0.118 1
O4 O 0.260 0.315 0.603 1
O5 O 0.266 0.842 0.549 1
O6 O 0.271 0.087 0.370 1
O7 O 0.385 0.009 0.733 1
O8 O 0.398 0.246 0.959 1
O9 O 0.430 0.511 0.780 1
```

Peak list (10 most intense, 10 to 90 degrees two-theta, by angle)
2θ/deg	d/Å	intensity
16.48	5.380	88
24.40	3.648	100
35.43	2.534	60
41.76	2.163	34
41.79	2.162	17
45.14	2.008	13
50.00	1.824	13
51.49	1.775	21
60.12	1.539	11
61.02	1.518	10


[7]
LiCr2C4O12: theoretical PXRD pattern (Cu Ka), based on a structure optimized by DFT (GGA+U).
No peak broadening, texture or thermal motion is included.

Structural model:
```
data_LiCr2C4O12
_chemical_formula_sum 'Li1 Cr2 C4 O12'
_cell_length_a 5.179
_cell_length_b 6.550
_cell_length_c 7.665
_cell_angle_alpha 88.76
_cell_angle_beta 88.35
_cell_angle_gamma 67.21
_symmetry_space_group_name_H-M 'P 1'
_symmetry_Int_Tables_number 1
loop_
_symmetry_equiv_pos_as_xyz
'x,y,z'
loop_
_atom_site_label
_atom_site_type_symbol
_atom_site_fract_x
_atom_site_fract_y
_atom_site_fract_z
_atom_site_occupancy
Li1 Li 0.000 0.000 0.000 1
Cr1 Cr 0.211 0.169 0.448 1
Cr2 Cr 0.709 0.656 0.952 1
C1 C 0.455 0.810 0.689 1
C2 C 0.478 0.032 0.181 1
C3 C 0.964 0.297 0.715 1
C4 C 0.968 0.527 0.213 1
O1 O 0.080 0.583 0.077 1
O2 O 0.105 0.460 0.357 1
O3 O 0.218 0.052 0.196 1
O4 O 0.222 0.277 0.690 1
O5 O 0.321 0.788 0.830 1
O6 O 0.329 0.877 0.542 1
O7 O 0.577 0.087 0.317 1
O8 O 0.628 0.965 0.041 1
O9 O 0.712 0.544 0.201 1
O10 O 0.720 0.755 0.701 1
O11 O 0.836 0.342 0.865 1
O12 O 0.851 0.253 0.579 1
```

Peak list (10 most intense, 10 to 90 degrees two-theta, by angle)
2θ/deg	d/Å	intensity
18.60	4.769	38
18.71	4.742	100
18.81	4.717	35
21.72	4.091	34
22.16	4.012	22
31.73	2.820	18
31.98	2.798	19
36.32	2.474	9
37.70	2.386	10
39.61	2.275	9


[8]
Li4Cr3C6O18: theoretical PXRD pattern (Cu Ka), based on a structure optimized by DFT (GGA+U).
No peak broadening, texture or thermal motion is included.

Structural model:
```
data_Li4Cr3C6O18
_chemical_formula_sum 'Li4 Cr3 C6 O18'
_cell_length_a 4.709
_cell_length_b 6.067
_cell_length_c 12.081
_cell_angle_alpha 100.54
_cell_angle_beta 90.04
_cell_angle_gamma 112.65
_symmetry_space_group_name_H-M 'P -1'
_symmetry_Int_Tables_number 2
loop_
_symmetry_equiv_pos_as_xyz
'x,y,z'
'-x,-y,-z'
loop_
_atom_site_label
_atom_site_type_symbol
_atom_site_fract_x
_atom_site_fract_y
_atom_site_fract_z
_atom_site_occupancy
Li1 Li 0.101 0.193 0.113 1
Li2 Li 0.257 0.502 0.571 1
Cr1 Cr 0.165 0.328 0.832 1
Cr2 Cr 0.500 0.000 0.500 1
C1 C 0.044 0.096 0.363 1
C2 C 0.282 0.571 0.301 1
C3 C 0.380 0.755 0.030 1
O1 O 0.100 0.501 0.208 1
O2 O 0.109 0.991 0.267 1
O3 O 0.113 0.775 0.038 1
O4 O 0.188 0.625 0.397 1
O5 O 0.222 0.895 0.627 1
O6 O 0.259 0.200 0.446 1
O7 O 0.415 0.154 0.886 1
O8 O 0.440 0.427 0.706 1
O9 O 0.443 0.652 0.934 1
```

Peak list (10 most intense, 10 to 90 degrees two-theta, by angle)
2θ/deg	d/Å	intensity
16.40	5.405	91
24.20	3.677	53
24.51	3.631	100
33.15	2.702	14
35.01	2.563	36
35.52	2.528	62
41.50	2.176	28
41.90	2.156	27
42.03	2.150	27
44.79	2.023	18